Simulated X-ray diffraction stick pattern
Compound: LiVF3
Radiation: λ = 1.5418 Å (Cu Kα)
Structure: a cell relaxed with PBE+U

Structure:
```
20
Lattice="6.1609 0.0000 0.0000 0.0000 6.1609 0.0000 0.0000 0.0000 6.1609" Properties=species:S:1:pos:R:3 pbc="T T T"
Li 0.5246 0.5246 0.5246
Li 2.5559 5.6364 3.6050
Li 3.6050 2.5559 5.6364
Li 5.6364 3.6050 2.5559
V 0.9321 4.0126 5.2288
V 2.1483 2.1483 2.1483
V 4.0126 5.2288 0.9321
V 5.2288 0.9321 4.0126
F 0.0911 1.5804 2.2851
F 0.7953 6.0698 4.6609
F 1.5001 3.8758 3.1716
F 1.5804 2.2851 0.0911
F 2.2851 0.0911 1.5804
F 2.9894 4.5805 5.3656
F 3.1716 1.5001 3.8758
F 3.8758 3.1716 1.5001
F 4.5805 5.3656 2.9894
F 4.6609 0.7953 6.0698
F 5.3656 2.9894 4.5805
F 6.0698 4.6609 0.7953
```

Largest 10 diffraction maxima, by intensity, 2θ from 10° to 90°:
d (Å)	2theta	I_rel
2.755	32.50	100
1.948	46.62	80
1.647	55.83	72
4.356	20.39	72
3.557	25.03	68
2.515	35.70	28
1.709	53.64	26
1.144	84.73	13
1.494	62.12	12
1.858	49.04	12